Diffraction record for MgBe2BiF. The X-ray diffraction stick pattern is theoretical, not measured: it uses a cell relaxed with GGA-PBE and Cu Kα, 1.54184 Å.
Intensities are scaled so that the largest is 1000.

Cell and atoms:
Lattice parameters (Å, degrees): 4.964 4.964 4.555 90.00 90.00 90.00
Space group P4/mmm (No. 123)
Unique sites:
1 Mg 0.000 0.000 0.000 [1 per cell]
2 Be 0.000 0.500 0.500 [2 per cell]
3 Bi 0.500 0.500 0.500 [1 per cell]
4 F 0.500 0.500 0.000 [1 per cell]

Largest 8 diffraction maxima, by angle, 2θ = 5–70°:
h k l  Position (°2θ)  I/Imax
1 0 0  17.87  1000
0 0 1  19.49  305
1 1 0  25.37  632
1 0 1  26.56  881
1 1 1  32.19  264
2 0 0  36.19  311
2 1 0  40.64  262
2 1 1  45.45  436

---

Diffraction record for Sc4SnAuO. The X-ray diffraction stick pattern is theoretical, not measured: it uses a cell relaxed with GGA-PBE and Cu Kα, 1.54184 Å.
Intensities are scaled so that the largest is 1000.

Cell and atoms:
Lattice parameters (Å, degrees): 6.099 14.819 6.103 90.00 90.00 90.00
Space group Cmcm (No. 63)
Unique sites:
1 Sc 0.000 0.069 0.250 [4 per cell]
2 Sc 0.000 0.411 0.250 [4 per cell]
3 Sc 0.250 0.250 0.000 [8 per cell]
4 Sn 0.000 0.393 0.750 [4 per cell]
5 Au 0.000 0.118 0.750 [4 per cell]
6 O 0.000 0.253 0.250 [4 per cell]

Largest 8 diffraction maxima, by angle, 2θ = 5–70°:
h k l  Position (°2θ)  I/Imax
1 1 1  21.45  540
0 4 0  24.02  253
1 3 1  27.45  524
2 0 0  29.28  675
2 2 0  31.72  268
1 5 1  36.79  271
2 4 0  38.22  1000
2 0 2  41.88  596

---

Diffraction record for Zr3Sn2. The X-ray diffraction stick pattern is theoretical, not measured: it uses a cell relaxed with GGA-PBE and Cu Kα, 1.54184 Å.
Intensities are scaled so that the largest is 1000.

Cell and atoms:
Lattice parameters (Å, degrees): 5.625 5.625 14.720 90.00 90.00 90.00
Space group I4_1/amd (No. 141, origin choice 2)
Unique sites:
1 Zr 0.000 0.000 0.000 [8 per cell]
2 Zr 0.000 0.250 0.375 [4 per cell]
3 Sn 0.000 0.250 0.179 [8 per cell]

Largest 8 diffraction maxima, by angle, 2θ = 5–70°:
h k l  Position (°2θ)  I/Imax
2 0 0  31.82  640
2 0 2  34.13  326
1 0 5  34.38  1000
2 1 1  36.22  748
2 1 3  40.31  484
1 1 6  43.33  203
2 2 4  52.29  296
3 0 5  58.35  218

---

Diffraction record for Ac3Si2Ni. The X-ray diffraction stick pattern is theoretical, not measured: it uses a cell relaxed with GGA-PBE and Cu Kα, 1.54184 Å.
Intensities are scaled so that the largest is 1000.

Cell and atoms:
Lattice parameters (Å, degrees): 12.321 4.424 12.422 90.00 90.00 90.00
Space group Pnma (No. 62)
Unique sites:
1 Ac 0.062 0.250 0.125 [4 per cell]
2 Ac 0.114 0.750 0.556 [4 per cell]
3 Ac 0.210 0.250 0.806 [4 per cell]
4 Si 0.036 0.750 0.316 [4 per cell]
5 Si 0.203 0.750 0.989 [4 per cell]
6 Ni 0.128 0.250 0.366 [4 per cell]

Largest 8 diffraction maxima, by angle, 2θ = 5–70°:
h k l  Position (°2θ)  I/Imax
1 1 1  22.52  654
2 1 1  25.81  818
3 0 2  26.01  712
2 1 2  28.71  640
0 1 3  29.55  1000
1 0 4  29.67  499
3 1 2  33.07  618
0 2 0  40.79  499

---

Diffraction record for Nd5Bi2Pb2. The X-ray diffraction stick pattern is theoretical, not measured: it uses a cell relaxed with GGA-PBE and Cu Kα, 1.54184 Å.
Intensities are scaled so that the largest is 1000.

Cell and atoms:
Lattice parameters (Å, degrees): 16.102 8.554 8.619 90.00 90.00 90.00
Space group Cmce (No. 64)
Unique sites:
1 Nd 0.000 0.000 0.000 [4 per cell]
2 Nd 0.138 0.166 0.338 [16 per cell]
3 Bi 0.000 0.140 0.641 [8 per cell]
4 Pb 0.202 0.000 0.000 [8 per cell]

Largest 8 diffraction maxima, by angle, 2θ = 5–70°:
h k l  Position (°2θ)  I/Imax
2 2 1  25.75  394
3 1 2  28.54  1000
0 2 2  29.42  459
4 2 1  32.26  772
6 0 0  33.37  940
1 3 1  33.57  644
5 1 3  43.51  403
7 3 3  61.00  445

---

Diffraction record for Dy2TaAl. The X-ray diffraction stick pattern is theoretical, not measured: it uses a cell relaxed with GGA-PBE and Cu Kα, 1.54184 Å.
Intensities are scaled so that the largest is 1000.

Cell and atoms:
Lattice parameters (Å, degrees): 3.1326 3.1326 33.6448 90.00 90.00 120.00
Space group R-3m (No. 166, hexagonal axes)
Unique sites:
1 Dy 0.0000 0.0000 0.0906 [6 per cell]
2 Ta 0.0000 0.0000 0.0000 [3 per cell]
3 Al 0.0000 0.0000 0.5000 [3 per cell]

Largest 8 diffraction maxima, by angle, 2θ = 5–70°:
h k l  Position (°2θ)  I/Imax
0 0 3  7.88  529
0 0 9  23.80  336
0 0 12  31.92  477
1 0 1  33.13  1000
0 1 2  33.46  635
1 0 10  42.82  620
0 1 11  44.65  553
1 1 12  68.64  318